For MgNbTl3S4, a cell relaxed with PBE gives the calculated powder XRD pattern in this record (λ = 1.5418 Å (Cu Kα)).

Structure:
abc: 7.004 7.004 7.004
angles: 107.61 107.61 107.61
Element x y z (fractional)
1 Mg 0.000 0.000 0.000
2 Nb 0.625 0.625 0.625
3 Tl 0.060 0.060 0.534
4 Tl 0.060 0.534 0.060
5 Tl 0.534 0.060 0.060
6 S 0.319 0.319 0.319
7 S 0.674 0.674 0.985
8 S 0.674 0.985 0.674
9 S 0.985 0.674 0.674

Largest 10 diffraction maxima, in order of rising 2θ, 2θ = 5–70°:
| d [Å] | Rel. int. |
| --- | --- |
| 4.119 | 100 |
| 3.552 | 11 |
| 3.007 | 56 |
| 2.826 | 54 |
| 2.331 | 30 |
| 2.060 | 18 |
| 1.890 | 24 |
| 1.798 | 23 |
| 1.776 | 11 |
| 1.665 | 14 |